The following is a computed X-ray diffraction stick pattern of LaPuCl6. It was derived from a PBE-relaxed structure, using Cu Kα, 1.54184 Å.
Neutral-atom scattering factors, no anomalous dispersion.

Structural model:
a b c (Å): 7.4506 7.4506 4.2979
angles (deg): 90.00 90.00 120.00
Space group P-6 (No. 174)
Asymmetric unit:
1 La 0.0000 0.0000 0.0000
2 Pu 0.3333 0.6667 0.5000
3 Cl 0.0586 0.6347 0.0000
4 Cl 0.2810 0.0285 0.5000

Peak list (6 most intense, 10 to 80 degrees two-theta, by angle)
2θ (°)	I/Imax	index
13.7	100	1 0 0
23.9	46	1 1 0
24.9	72	1 0 1
34.8	76	2 0 1
42.0	43	0 0 2
42.6	66	2 1 1